This entry pairs a crystal structure of Sr3LaMn4O10 with its theoretical powder X-ray diffraction pattern. Radiation: Cu Kα X-rays. Structure: a GGA+U-relaxed structure.

The 6 most intense peaks (2θ from 5° to 70°), most intense first:
2θ = 32.09°, d = 2.789 Å, rel. 1000, (1 1 -2)
2θ = 32.20°, d = 2.780 Å, rel. 962, (1 1 2)
2θ = 33.16°, d = 2.701 Å, rel. 569, (0 0 4)
2θ = 31.78°, d = 2.816 Å, rel. 503, (2 0 0)
2θ = 45.60°, d = 1.990 Å, rel. 390, (0 2 0)
2θ = 56.69°, d = 1.624 Å, rel. 326, (2 2 0)

Lattice parameters (Å, degrees): 5.631 3.979 10.806 90.00 90.36 90.00
Fractional positions:
Sr1 0.000 0.000 0.000
Sr2 0.080 0.000 0.511
Sr3 0.579 0.000 0.739
La1 0.477 0.000 0.237
Mn1 0.016 0.500 0.252
Mn2 0.056 0.500 0.749
Mn3 0.527 0.500 0.996
Mn4 0.558 0.500 0.492
O1 0.017 0.000 0.263
O2 0.088 0.000 0.768
O3 0.228 0.500 0.092
O4 0.296 0.500 0.367
O5 0.339 0.500 0.645
O6 0.517 0.000 0.991
O7 0.586 0.000 0.463
O8 0.704 0.500 0.175
O9 0.790 0.500 0.873
O10 0.836 0.500 0.593